1.
Simulated X-ray powder pattern
Compound: Zn2SiO4
Radiation: Cu Kα, 1.54184 Å
Structure: a cell relaxed with GGA-PBE
Intensities are scaled so that the largest is 100.

Structure:
Unit cell a=5.6030 b=8.0561 c=9.0989 alpha=90.00 beta=121.79 gamma=90.00
Space group P2_1/c (No. 14)
Asymmetric unit:
Zn1 0.1469 0.0079 0.1901 [4 per cell]
Zn2 0.2422 0.1190 0.5986 [4 per cell]
Si1 0.3660 0.7398 0.0367 [4 per cell]
O1 0.1656 0.6250 0.0783 [4 per cell]
O2 0.2334 0.5705 0.5019 [4 per cell]
O3 0.3080 0.2354 0.2929 [4 per cell]
O4 0.3834 0.6506 0.8783 [4 per cell]

Largest 12 diffraction maxima, in order of rising 2θ, 2θ from 15° to 90°:
2θ 19.4, rel. 36.4, (1 1 -1); 2θ 20.6, rel. 50.9, (1 0 -2); 2θ 27.3, rel. 33.6, (1 2 -1); 2θ 29.0, rel. 44.9, (1 2 0); 2θ 31.5, rel. 100.0, (1 1 -3); 2θ 32.1, rel. 25.5, (2 0 -2); 2θ 34.9, rel. 33.6, (2 1 -1); 2θ 35.4, rel. 43.4, (0 3 1); 2θ 36.9, rel. 46.0, (1 0 2); 2θ 37.2, rel. 45.5, (1 3 -1); 2θ 37.8, rel. 33.1, (2 0 0); 2θ 57.5, rel. 28.1, (2 3 1)

2.
Simulated X-ray powder pattern
Compound: Zn2SiO4
Radiation: Cu Kα, 1.54184 Å
Structure: a cell relaxed with GGA-PBE
Intensities are scaled so that the largest is 100.

Structure:
Unit cell a=5.8118 b=11.6428 c=8.5407 alpha=90.00 beta=90.00 gamma=90.00
Space group Imma (No. 74)
Asymmetric unit:
Zn1 0.0000 0.0000 0.0000 [4 per cell]
Zn2 0.0000 0.2500 0.0317 [4 per cell]
Zn3 0.2500 0.1253 0.7500 [8 per cell]
Si1 0.0000 0.1208 0.3833 [8 per cell]
O1 0.0000 0.0126 0.2578 [8 per cell]
O2 0.0000 0.2500 0.2866 [4 per cell]
O3 0.0000 0.2500 0.7875 [4 per cell]
O4 0.2361 0.1229 0.4913 [16 per cell]

Largest 12 diffraction maxima, in order of rising 2θ, 2θ from 15° to 90°:
2θ 18.5, rel. 58.5, (1 0 1); 2θ 32.4, rel. 60.6, (0 1 3); 2θ 33.5, rel. 70.2, (2 1 1); 2θ 35.1, rel. 40.6, (1 0 3); 2θ 36.1, rel. 100.0, (1 4 1); 2θ 37.4, rel. 61.5, (2 0 2); 2θ 40.2, rel. 41.3, (2 3 1); 2θ 42.3, rel. 45.9, (0 0 4); 2θ 44.0, rel. 98.3, (2 4 0); 2θ 62.7, rel. 88.9, (2 4 4); 2θ 64.0, rel. 24.0, (0 8 0); 2θ 64.1, rel. 24.3, (4 0 0)

3.
Simulated X-ray powder pattern
Compound: Zn2SiO4
Radiation: Cu Kα, 1.54184 Å
Structure: a cell relaxed with GGA-PBE
Intensities are scaled so that the largest is 100.

Structure:
Unit cell a=6.1852 b=11.0477 c=9.8813 alpha=90.00 beta=90.00 gamma=90.00
Space group Pbca (No. 61)
Asymmetric unit:
Zn1 0.0580 0.1612 0.1825 [8 per cell]
Zn2 0.1547 0.5606 0.9173 [8 per cell]
Si1 0.1362 0.6234 0.6206 [8 per cell]
O1 0.0756 0.1350 0.9801 [8 per cell]
O2 0.0956 0.5119 0.7293 [8 per cell]
O3 0.1497 0.0984 0.5256 [8 per cell]
O4 0.1670 0.7475 0.7148 [8 per cell]

Largest 12 diffraction maxima, in order of rising 2θ, 2θ from 15° to 90°:
2θ 24.2, rel. 36.9, (0 2 2); 2θ 24.4, rel. 39.2, (1 1 2); 2θ 28.2, rel. 45.2, (1 2 2); 2θ 29.6, rel. 63.5, (1 3 1); 2θ 31.4, rel. 100.0, (2 1 1); 2θ 31.6, rel. 77.6, (0 2 3); 2θ 31.8, rel. 31.9, (1 1 3); 2θ 33.7, rel. 64.1, (0 4 1); 2θ 34.5, rel. 35.4, (2 2 1); 2θ 39.3, rel. 30.5, (1 0 4); 2θ 50.8, rel. 28.6, (2 5 0); 2θ 57.9, rel. 30.6, (1 5 4)